Diffraction record for Sr6Co4O13. The X-ray diffraction stick pattern is simulated, not measured: it uses a cell relaxed with PBE+U and CuKα.
Kinematic intensities with the Lorentz-polarization factor, no thermal factor.

Lattice parameters (Å, degrees): 5.501 20.254 5.477 90.00 90.00 90.00
Space group Cmmm (No. 65)
Symmetry-distinct sites (fractional):
Sr (0.000, 0.000, 0.000) (multiplicity 2)
Sr (0.000, 0.178, 0.000) (multiplicity 4)
Sr (0.000, 0.318, 0.500) (multiplicity 4)
Sr (0.000, 0.500, 0.500) (multiplicity 2)
Co (0.000, 0.094, 0.500) (multiplicity 4)
Co (0.000, 0.393, 0.000) (multiplicity 4)
O (0.000, 0.000, 0.500) (multiplicity 2)
O (0.000, 0.192, 0.500) (multiplicity 4)
O (0.000, 0.301, 0.000) (multiplicity 4)
O (0.240, 0.410, 0.241) (multiplicity 16)

Most intense lines, 10° ≤ 2θ ≤ 90°, by intensity:
2theta  I_rel
31.93  100
46.81  41
32.55  32
32.70  32
57.69  18
57.88  18
66.76  12
42.39  12